Starting from a cell relaxed with GGA-PBE, the powder X-ray diffraction pattern of BaTl2O4 was calculated for Cu Kα (weighted mean of Kα1 and Kα2).

Structure:
a b c (Å): 10.4927 3.5312 12.2119
angles (deg): 90.00 90.00 90.00
Element x y z (fractional)
Ba 0.2452 0.2500 0.1520
Ba 0.2548 0.7500 0.6520
Ba 0.7452 0.2500 0.3480
Ba 0.7548 0.7500 0.8480
Tl 0.0742 0.2500 0.3917
Tl 0.0785 0.2500 0.8926
Tl 0.4215 0.7500 0.3926
Tl 0.4258 0.7500 0.8917
Tl 0.5742 0.2500 0.1083
Tl 0.5785 0.2500 0.6074
Tl 0.9215 0.7500 0.1074
Tl 0.9258 0.7500 0.6083
O 0.0218 0.7500 0.7816
O 0.0772 0.2500 0.5744
O 0.1203 0.7500 0.0177
O 0.2073 0.7500 0.3329
O 0.2927 0.2500 0.8329
O 0.3797 0.2500 0.5177
O 0.4228 0.7500 0.0744
O 0.4782 0.2500 0.2816
O 0.5218 0.7500 0.7184
O 0.5772 0.2500 0.9256
O 0.6203 0.7500 0.4823
O 0.7073 0.7500 0.1671
O 0.7927 0.2500 0.6671
O 0.8797 0.2500 0.9823
O 0.9228 0.7500 0.4256
O 0.9782 0.2500 0.2184

The 10 most intense peaks (2θ from 10° to 90°), in order of rising 2θ:
- hkl 0 0 4, 29.25 deg, I = 35
- hkl 3 0 2, 29.43 deg, I = 79
- hkl 1 1 2, 30.48 deg, I = 100
- hkl 2 1 4, 42.78 deg, I = 25
- hkl 4 1 0, 42.95 deg, I = 17
- hkl 0 2 0, 51.78 deg, I = 12
- hkl 1 1 6, 52.63 deg, I = 12
- hkl 4 1 4, 52.81 deg, I = 16
- hkl 5 1 2, 52.93 deg, I = 15
- hkl 3 2 2, 60.68 deg, I = 21